Entry 1:
For K2SnHCl4, a crystal structure in the Materials Project, relaxed with GGA-PBE gives the calculated powder diffraction line list in this record (copper Kα).

Crystal structure
Cell lengths 12.6793, 8.9116, 8.1624 Å; angles 90.00, 90.00, 90.00 degrees
Fractional coordinates of all 32 atoms:
K 0.1845 0.2500 0.1101
K 0.1994 0.7500 0.1231
K 0.3006 0.2500 0.6231
K 0.3155 0.7500 0.6101
K 0.6845 0.2500 0.3899
K 0.6994 0.7500 0.3769
K 0.8006 0.2500 0.8769
K 0.8155 0.7500 0.8899
Sn 0.0000 0.0000 0.5000
Sn 0.0000 0.5000 0.5000
Sn 0.5000 0.0000 0.0000
Sn 0.5000 0.5000 0.0000
H 0.0000 0.0000 0.0000
H 0.0000 0.5000 0.0000
H 0.5000 0.0000 0.5000
H 0.5000 0.5000 0.5000
Cl 0.0404 0.2500 0.7273
Cl 0.0477 0.7500 0.7179
Cl 0.2109 0.0039 0.3891
Cl 0.2109 0.4961 0.3891
Cl 0.2891 0.5039 0.8891
Cl 0.2891 0.9961 0.8891
Cl 0.4523 0.2500 0.2179
Cl 0.4596 0.7500 0.2273
Cl 0.5404 0.2500 0.7727
Cl 0.5477 0.7500 0.7821
Cl 0.7109 0.0039 0.1109
Cl 0.7109 0.4961 0.1109
Cl 0.7891 0.5039 0.6109
Cl 0.7891 0.9961 0.6109
Cl 0.9523 0.2500 0.2821
Cl 0.9596 0.7500 0.2727

Top 10 peaks for 2θ = 10–90°, in order of rising 2θ:
2θ/deg	d/Å	intensity
12.90	6.863	100
23.71	3.753	34
23.81	3.737	66
28.15	3.170	23
29.68	3.010	36
30.53	2.928	42
32.94	2.719	44
40.49	2.228	23
42.49	2.128	35
44.52	2.035	26

***

Entry 2:
For EuNi2Sb2, a crystal structure in the Materials Project, relaxed with GGA-PBE gives the calculated powder diffraction line list in this record (copper Kα).

Crystal structure
Cell lengths 6.2214, 6.2214, 6.2214 Å; angles 138.63, 138.63, 59.93 degrees
Fractional coordinates of all 5 atoms:
Eu 0.0000 0.0000 0.0000
Ni 0.2500 0.7500 0.5000
Ni 0.7500 0.2500 0.5000
Sb 0.3630 0.3630 0.0000
Sb 0.6370 0.6370 0.0000

Top 10 peaks for 2θ = 10–90°, in order of rising 2θ:
2θ/deg	d/Å	intensity
28.73	3.108	36
32.18	2.782	100
33.28	2.692	44
41.08	2.197	55
44.50	2.036	14
46.94	1.936	17
53.11	1.724	48
59.46	1.555	38
64.11	1.452	14
89.08	1.099	19

***

Entry 3:
For Tl2Co3NiSe4, a crystal structure in the Materials Project, relaxed with GGA-PBE gives the calculated powder diffraction line list in this record (copper Kα).

Crystal structure
Cell lengths 3.8461, 3.8461, 13.8139 Å; angles 90.00, 90.00, 90.00 degrees
Fractional coordinates of all 10 atoms:
Tl 0.0000 0.5000 0.2498
Tl 0.5000 0.0000 0.7502
Co 0.0000 0.0000 0.0000
Co 0.0000 0.0000 0.5000
Co 0.5000 0.5000 0.5000
Ni 0.5000 0.5000 0.0000
Se 0.0000 0.5000 0.5951
Se 0.0000 0.5000 0.8982
Se 0.5000 0.0000 0.1018
Se 0.5000 0.0000 0.4049

Top 10 peaks for 2θ = 10–90°, in order of rising 2θ:
2θ/deg	d/Å	intensity
24.02	3.705	16
25.80	3.453	12
30.28	2.952	100
32.93	2.720	17
35.47	2.531	40
40.19	2.244	14
47.27	1.923	27
52.05	1.757	37
57.17	1.611	33
69.07	1.360	9